(1)
Theoretical powder diffraction line list
Compound: HoEr2Rh2
Radiation: copper Kα
Structure: a cell relaxed with PBE
Lines closer than 0.1° are merged.

Structure:
abc: 8.610 8.610 7.202
angles: 90.00 90.00 153.72
Element x y z (fractional)
1 Ho 0.122 0.878 0.500
2 Ho 0.878 0.122 0.000
3 Er 0.311 0.689 0.385
4 Er 0.469 0.531 0.667
5 Er 0.531 0.469 0.167
6 Er 0.689 0.311 0.885
7 Rh 0.054 0.946 0.868
8 Rh 0.305 0.695 0.787
9 Rh 0.695 0.305 0.287
10 Rh 0.946 0.054 0.368

The 10 most intense peaks (2θ from 5° to 70°), low angle first:
26.4 deg, intensity 709
26.9 deg, intensity 345
32.8 deg, intensity 311
34.3 deg, intensity 642
34.4 deg, intensity 623
35.2 deg, intensity 995
37.4 deg, intensity 478
37.6 deg, intensity 1000
39.0 deg, intensity 388
46.4 deg, intensity 472

(2)
Theoretical powder diffraction line list
Compound: Ca2UNi9
Radiation: copper Kα
Structure: a cell relaxed with PBE
Lines closer than 0.1° are merged.

Structure:
abc: 8.671 8.671 8.671
angles: 32.98 32.98 32.98
Element x y z (fractional)
1 Ca 0.142 0.142 0.142
2 Ca 0.858 0.858 0.858
3 U 0.000 0.000 0.000
4 Ni 0.082 0.579 0.579
5 Ni 0.333 0.333 0.333
6 Ni 0.421 0.421 0.918
7 Ni 0.421 0.918 0.421
8 Ni 0.500 0.500 0.500
9 Ni 0.579 0.082 0.579
10 Ni 0.579 0.579 0.082
11 Ni 0.667 0.667 0.667
12 Ni 0.918 0.421 0.421

The 10 most intense peaks (2θ from 5° to 70°), low angle first:
10.8 deg, intensity 683
25.4 deg, intensity 226
33.1 deg, intensity 266
36.0 deg, intensity 291
36.5 deg, intensity 309
38.2 deg, intensity 171
42.6 deg, intensity 342
42.9 deg, intensity 1000
43.1 deg, intensity 238
44.2 deg, intensity 254

(3)
Theoretical powder diffraction line list
Compound: Y3Co
Radiation: copper Kα
Structure: a cell relaxed with PBE
Lines closer than 0.1° are merged.

Structure:
abc: 6.293 6.983 9.469
angles: 90.00 90.00 90.00
Element x y z (fractional)
1 Y 0.068 0.176 0.069
2 Y 0.077 0.173 0.432
3 Y 0.108 0.456 0.749
4 Y 0.392 0.544 0.249
5 Y 0.423 0.827 0.932
6 Y 0.432 0.824 0.569
7 Y 0.568 0.324 0.931
8 Y 0.577 0.327 0.568
9 Y 0.608 0.044 0.251
10 Y 0.892 0.956 0.751
11 Y 0.923 0.673 0.068
12 Y 0.932 0.676 0.431
13 Co 0.204 0.888 0.244
14 Co 0.296 0.112 0.744
15 Co 0.704 0.612 0.756
16 Co 0.796 0.388 0.256

The 10 most intense peaks (2θ from 5° to 70°), low angle first:
30.8 deg, intensity 469
31.2 deg, intensity 403
31.7 deg, intensity 1000
31.8 deg, intensity 553
32.6 deg, intensity 813
34.3 deg, intensity 760
35.0 deg, intensity 685
38.5 deg, intensity 364
57.2 deg, intensity 414
58.4 deg, intensity 380

(4)
Theoretical powder diffraction line list
Compound: BaCeSi2O6
Radiation: copper Kα
Structure: a cell relaxed with PBE
Lines closer than 0.1° are merged.

Structure:
abc: 6.950 6.950 8.246
angles: 104.38 104.38 112.97
Element x y z (fractional)
1 Ba 0.216 0.784 0.750
2 Ba 0.784 0.216 0.250
3 Ce 0.352 0.648 0.250
4 Ce 0.648 0.352 0.750
5 Si 0.081 0.244 0.762
6 Si 0.244 0.081 0.262
7 Si 0.756 0.919 0.738
8 Si 0.919 0.756 0.238
9 O 0.058 0.672 0.373
10 O 0.198 0.284 0.224
11 O 0.210 0.469 0.956
12 O 0.284 0.198 0.724
13 O 0.328 0.942 0.127
14 O 0.469 0.210 0.456
15 O 0.531 0.790 0.544
16 O 0.672 0.058 0.873
17 O 0.716 0.802 0.276
18 O 0.790 0.531 0.044
19 O 0.802 0.716 0.776
20 O 0.942 0.328 0.627

The 10 most intense peaks (2θ from 5° to 70°), low angle first:
15.3 deg, intensity 410
19.5 deg, intensity 484
24.2 deg, intensity 1000
26.0 deg, intensity 265
26.6 deg, intensity 633
27.9 deg, intensity 731
30.3 deg, intensity 401
30.6 deg, intensity 291
33.2 deg, intensity 238
39.0 deg, intensity 235